Entry 1:
The following is a calculated powder X-ray diffraction pattern of KMg6C. It was derived from a DFT-relaxed cell (PBE, Alexandria), using Cu Ka.

Structure:
```
data_KMg6C
_chemical_formula_sum 'K1 Mg6 C1'
_space_group_name_H-M_alt 'P 1'
_space_group_IT_number 1
_space_group_name_Hall 'P 1'
_cell_length_a 3.3612
_cell_length_b 8.1105
_cell_length_c 8.1105
_cell_angle_alpha 60.78
_cell_angle_beta 90.00
_cell_angle_gamma 90.00
loop_
_atom_site_label
_atom_site_fract_x
_atom_site_fract_y
_atom_site_fract_z
_atom_site_occupancy
K1 0.0000 0.0000 0.0000 1
Mg1 0.0000 0.0418 0.3865 1
Mg2 0.0000 0.3865 0.0418 1
Mg3 0.0000 0.5591 0.5591 1
Mg4 0.5000 0.2135 0.5528 1
Mg5 0.5000 0.5528 0.2135 1
Mg6 0.5000 0.7572 0.7572 1
C1 0.5000 0.2470 0.2470 1
```

Principal peaks in the range 2θ from 5° to 70°, in order of rising 2θ:
2θ/deg	d (Å)	I (rel.)
25.16	3.539	27
29.47	3.031	83
33.38	2.684	58
33.67	2.662	45
33.84	2.649	46
34.66	2.588	45
36.88	2.437	100
47.06	1.931	33
53.98	1.699	25
54.60	1.681	26

Entry 2:
The following is a calculated powder X-ray diffraction pattern of AcRe2N4. It was derived from a DFT-relaxed cell (PBE, Alexandria), using Cu Ka.

Structure:
```
data_AcRe2N4
_chemical_formula_sum 'Ac2 Re4 N8'
_space_group_name_H-M_alt 'P 1'
_space_group_IT_number 1
_space_group_name_Hall 'P 1'
_cell_length_a 5.2910
_cell_length_b 5.2910
_cell_length_c 10.1822
_cell_angle_alpha 90.00
_cell_angle_beta 90.00
_cell_angle_gamma 142.89
loop_
_atom_site_label
_atom_site_fract_x
_atom_site_fract_y
_atom_site_fract_z
_atom_site_occupancy
Ac1 0.1212 0.8788 0.7500 1
Ac2 0.8788 0.1212 0.2500 1
Re1 0.3853 0.6147 0.5607 1
Re2 0.3853 0.6147 0.9393 1
Re3 0.6147 0.3853 0.0607 1
Re4 0.6147 0.3853 0.4393 1
N1 0.0000 0.0000 0.0000 1
N2 0.0000 0.0000 0.5000 1
N3 0.2519 0.7481 0.0957 1
N4 0.2519 0.7481 0.4043 1
N5 0.4181 0.5819 0.7500 1
N6 0.5819 0.4181 0.2500 1
N7 0.7481 0.2519 0.5957 1
N8 0.7481 0.2519 0.9043 1
```

Principal peaks in the range 2θ from 5° to 70°, in order of rising 2θ:
2θ/deg	d (Å)	I (rel.)
29.32	3.046	46
31.83	2.811	100
33.12	2.704	69
35.80	2.508	37
38.98	2.311	38
42.01	2.151	30
53.36	1.717	24
56.36	1.633	24
59.85	1.545	26
64.52	1.444	28

Entry 3:
The following is a calculated powder X-ray diffraction pattern of ZrFeAuI2. It was derived from a DFT-relaxed cell (PBE, Alexandria), using Cu Ka.

Structure:
```
data_ZrFeAuI2
_chemical_formula_sum 'Zr1 Fe1 Au1 I2'
_space_group_name_H-M_alt 'P 1'
_space_group_IT_number 1
_space_group_name_Hall 'P 1'
_cell_length_a 5.0717
_cell_length_b 5.0717
_cell_length_c 4.8404
_cell_angle_alpha 90.00
_cell_angle_beta 90.00
_cell_angle_gamma 90.00
loop_
_atom_site_label
_atom_site_fract_x
_atom_site_fract_y
_atom_site_fract_z
_atom_site_occupancy
Zr1 0.0000 0.0000 0.0000 1
Fe1 0.0000 0.0000 0.5000 1
Au1 0.5000 0.5000 0.0000 1
I1 0.0000 0.5000 0.5000 1
I2 0.5000 0.0000 0.5000 1
```

Principal peaks in the range 2θ from 5° to 70°, in order of rising 2θ:
2θ/deg	d (Å)	I (rel.)
25.44	3.502	19
31.04	2.882	100
35.40	2.536	55
37.15	2.420	24
44.09	2.054	9
50.93	1.793	19
52.25	1.751	35
60.85	1.522	29
63.19	1.471	13
64.70	1.441	18

Entry 4:
The following is a calculated powder X-ray diffraction pattern of Ac3Zn2Pt. It was derived from a DFT-relaxed cell (PBE, Alexandria), using Cu Ka.

Structure:
```
data_Ac3Zn2Pt
_chemical_formula_sum 'Ac12 Zn8 Pt4'
_space_group_name_H-M_alt 'P 1'
_space_group_IT_number 1
_space_group_name_Hall 'P 1'
_cell_length_a 12.9679
_cell_length_b 4.5618
_cell_length_c 12.3671
_cell_angle_alpha 90.00
_cell_angle_beta 90.00
_cell_angle_gamma 90.00
loop_
_atom_site_label
_atom_site_fract_x
_atom_site_fract_y
_atom_site_fract_z
_atom_site_occupancy
Ac1 0.0518 0.2500 0.1316 1
Ac2 0.1129 0.7500 0.5614 1
Ac3 0.2210 0.2500 0.8067 1
Ac4 0.2790 0.7500 0.3067 1
Ac5 0.3871 0.2500 0.0614 1
Ac6 0.4482 0.7500 0.6316 1
Ac7 0.5518 0.2500 0.3684 1
Ac8 0.6129 0.7500 0.9386 1
Ac9 0.7210 0.2500 0.6933 1
Ac10 0.7790 0.7500 0.1933 1
Ac11 0.8871 0.2500 0.4386 1
Ac12 0.9482 0.7500 0.8684 1
Zn1 0.0224 0.7500 0.3114 1
Zn2 0.1984 0.7500 0.0069 1
Zn3 0.3016 0.2500 0.5069 1
Zn4 0.4776 0.2500 0.8114 1
Zn5 0.5224 0.7500 0.1886 1
Zn6 0.6984 0.7500 0.4931 1
Zn7 0.8016 0.2500 0.9931 1
Zn8 0.9776 0.2500 0.6886 1
Pt1 0.1255 0.2500 0.3804 1
Pt2 0.3745 0.7500 0.8804 1
Pt3 0.6255 0.2500 0.1196 1
Pt4 0.8745 0.7500 0.6196 1
```

Principal peaks in the range 2θ from 5° to 70°, in order of rising 2θ:
2θ/deg	d (Å)	I (rel.)
9.88	8.950	31
24.93	3.572	55
27.93	3.195	33
29.20	3.059	94
29.71	3.007	30
32.00	2.797	100
34.71	2.584	46
37.79	2.381	33
39.51	2.281	57
45.87	1.978	31